1.
Diffraction record for Tm3Th3Sc5. The powder XRD pattern is computed, not measured: it uses a cell relaxed with GGA-PBE and λ = 1.5418 Å (Cu Kα).
No peak broadening, texture or thermal motion is included.

Main lines, in order of falling intensity (15 to 90 degrees two-theta):
| 2θ/deg | intensity |
| --- | --- |
| 32.23 | 1000 |
| 37.17 | 682 |
| 32.11 | 540 |
| 32.01 | 510 |
| 37.52 | 339 |
| 63.95 | 281 |
| 53.64 | 243 |
| 53.86 | 232 |
| 63.77 | 148 |
| 64.10 | 139 |

Atomic structure:
```
data_Tm3Th3Sc5
_symmetry_space_group_name_H-M 'P 1'
_symmetry_Int_Tables_number 1
_symmetry_space_group_name_Hall 'P 1'
_cell_length_a 5.903
_cell_length_b 7.583
_cell_length_c 7.663
_cell_angle_alpha 107.61
_cell_angle_beta 104.86
_cell_angle_gamma 97.02
loop_
_atom_site_label
_atom_site_type_symbol
_atom_site_fract_x
_atom_site_fract_y
_atom_site_fract_z
_atom_site_occupancy
Tm1 Tm 0.000 0.000 0.000 1
Tm2 Tm 0.188 0.630 0.721 1
Tm3 Tm 0.457 0.093 0.809 1
Th1 Th 0.551 0.903 0.181 1
Th2 Th 0.638 0.716 0.536 1
Th3 Th 0.913 0.186 0.632 1
Sc1 Sc 0.094 0.816 0.360 1
Sc2 Sc 0.273 0.455 0.093 1
Sc3 Sc 0.368 0.266 0.446 1
Sc4 Sc 0.731 0.542 0.912 1
Sc5 Sc 0.818 0.362 0.268 1
```



2.
Diffraction record for Ba3PrF9. The powder XRD pattern is computed, not measured: it uses a cell relaxed with GGA-PBE and λ = 1.5418 Å (Cu Kα).
No peak broadening, texture or thermal motion is included.

Main lines, in order of falling intensity (15 to 90 degrees two-theta):
| 2θ/deg | intensity |
| --- | --- |
| 24.68 | 1000 |
| 41.01 | 683 |
| 25.39 | 498 |
| 25.44 | 479 |
| 48.44 | 238 |
| 28.37 | 222 |
| 42.86 | 220 |
| 41.57 | 216 |
| 41.40 | 209 |
| 29.00 | 208 |

Atomic structure:
```
data_Ba3PrF9
_symmetry_space_group_name_H-M 'P 1'
_symmetry_Int_Tables_number 1
_symmetry_space_group_name_Hall 'P 1'
_cell_length_a 4.221
_cell_length_b 4.351
_cell_length_c 14.651
_cell_angle_alpha 91.43
_cell_angle_beta 97.44
_cell_angle_gamma 118.24
loop_
_atom_site_label
_atom_site_type_symbol
_atom_site_fract_x
_atom_site_fract_y
_atom_site_fract_z
_atom_site_occupancy
Ba1 Ba 0.000 0.000 0.000 1
Ba2 Ba 0.008 0.476 0.483 1
Ba3 Ba 0.504 0.239 0.742 1
Pr1 Pr 0.497 0.659 0.229 1
F1 F 0.128 0.553 0.671 1
F2 F 0.151 0.034 0.221 1
F3 F 0.370 0.686 0.066 1
F4 F 0.378 0.156 0.545 1
F5 F 0.621 0.315 0.924 1
F6 F 0.623 0.785 0.401 1
F7 F 0.731 0.379 0.133 1
F8 F 0.877 0.921 0.806 1
F9 F 0.900 0.425 0.305 1
```



3.
Diffraction record for KSnBi3. The powder XRD pattern is computed, not measured: it uses a cell relaxed with GGA-PBE and λ = 1.5418 Å (Cu Kα).
No peak broadening, texture or thermal motion is included.

Main lines, in order of falling intensity (15 to 90 degrees two-theta):
| 2θ/deg | intensity |
| --- | --- |
| 30.90 | 1000 |
| 15.16 | 806 |
| 27.60 | 456 |
| 37.74 | 450 |
| 34.59 | 432 |
| 37.92 | 425 |
| 26.47 | 400 |
| 17.10 | 387 |
| 26.71 | 363 |
| 59.42 | 240 |

Atomic structure:
```
data_KSnBi3
_symmetry_space_group_name_H-M 'P 1'
_symmetry_Int_Tables_number 1
_symmetry_space_group_name_Hall 'P 1'
_cell_length_a 7.119
_cell_length_b 7.119
_cell_length_c 8.240
_cell_angle_alpha 90.00
_cell_angle_beta 90.00
_cell_angle_gamma 110.35
loop_
_atom_site_label
_atom_site_type_symbol
_atom_site_fract_x
_atom_site_fract_y
_atom_site_fract_z
_atom_site_occupancy
K1 K 0.248 0.752 0.750 1
K2 K 0.752 0.248 0.250 1
Sn1 Sn 0.373 0.627 0.250 1
Sn2 Sn 0.627 0.373 0.750 1
Bi1 Bi 0.102 0.898 0.250 1
Bi2 Bi 0.271 0.271 0.000 1
Bi3 Bi 0.271 0.271 0.500 1
Bi4 Bi 0.729 0.729 0.000 1
Bi5 Bi 0.729 0.729 0.500 1
Bi6 Bi 0.898 0.102 0.750 1
```



4.
Diffraction record for CaYB6C6. The powder XRD pattern is computed, not measured: it uses a cell relaxed with GGA-PBE and λ = 1.5418 Å (Cu Kα).
No peak broadening, texture or thermal motion is included.

Main lines, in order of falling intensity (15 to 90 degrees two-theta):
| 2θ/deg | intensity |
| --- | --- |
| 46.31 | 1000 |
| 26.24 | 756 |
| 37.45 | 489 |
| 73.83 | 444 |
| 18.48 | 240 |
| 61.01 | 160 |
| 42.07 | 123 |
| 54.01 | 116 |
| 85.85 | 88 |
| 79.90 | 83 |

Atomic structure:
```
data_CaYB6C6
_symmetry_space_group_name_H-M 'P 1'
_symmetry_Int_Tables_number 1
_symmetry_space_group_name_Hall 'P 1'
_cell_length_a 4.802
_cell_length_b 4.802
_cell_length_c 4.802
_cell_angle_alpha 90.00
_cell_angle_beta 90.00
_cell_angle_gamma 90.00
loop_
_atom_site_label
_atom_site_type_symbol
_atom_site_fract_x
_atom_site_fract_y
_atom_site_fract_z
_atom_site_occupancy
Ca1 Ca 0.000 0.000 0.000 1
Y1 Y 0.500 0.500 0.500 1
B1 B 0.000 0.248 0.500 1
B2 B 0.000 0.752 0.500 1
B3 B 0.248 0.500 0.000 1
B4 B 0.500 0.000 0.248 1
B5 B 0.500 0.000 0.752 1
B6 B 0.752 0.500 0.000 1
C1 C 0.000 0.500 0.253 1
C2 C 0.000 0.500 0.747 1
C3 C 0.253 0.000 0.500 1
C4 C 0.500 0.253 0.000 1
C5 C 0.500 0.747 0.000 1
C6 C 0.747 0.000 0.500 1
```



5.
Diffraction record for Tb4GaGe. The powder XRD pattern is computed, not measured: it uses a cell relaxed with GGA-PBE and λ = 1.5418 Å (Cu Kα).
No peak broadening, texture or thermal motion is included.

Main lines, in order of falling intensity (15 to 90 degrees two-theta):
| 2θ/deg | intensity |
| --- | --- |
| 35.92 | 1000 |
| 34.50 | 895 |
| 33.72 | 749 |
| 30.05 | 529 |
| 27.17 | 430 |
| 45.79 | 334 |
| 25.51 | 316 |
| 39.99 | 291 |
| 33.61 | 289 |
| 17.21 | 274 |

Atomic structure:
```
data_Tb4GaGe
_symmetry_space_group_name_H-M 'P 1'
_symmetry_Int_Tables_number 1
_symmetry_space_group_name_Hall 'P 1'
_cell_length_a 10.766
_cell_length_b 10.766
_cell_length_c 6.205
_cell_angle_alpha 90.00
_cell_angle_beta 90.00
_cell_angle_gamma 151.41
loop_
_atom_site_label
_atom_site_type_symbol
_atom_site_fract_x
_atom_site_fract_y
_atom_site_fract_z
_atom_site_occupancy
Tb1 Tb 0.059 0.941 0.750 1
Tb2 Tb 0.204 0.796 0.504 1
Tb3 Tb 0.204 0.796 0.996 1
Tb4 Tb 0.381 0.619 0.750 1
Tb5 Tb 0.619 0.381 0.250 1
Tb6 Tb 0.796 0.204 0.004 1
Tb7 Tb 0.796 0.204 0.496 1
Tb8 Tb 0.941 0.059 0.250 1
Ga1 Ga 0.077 0.923 0.250 1
Ga2 Ga 0.923 0.077 0.750 1
Ge1 Ge 0.339 0.661 0.250 1
Ge2 Ge 0.661 0.339 0.750 1
```



6.
Diffraction record for Ga. The powder XRD pattern is computed, not measured: it uses a cell relaxed with GGA-PBE and λ = 1.5418 Å (Cu Kα).
No peak broadening, texture or thermal motion is included.

Main lines, in order of falling intensity (15 to 90 degrees two-theta):
| 2θ/deg | intensity |
| --- | --- |
| 44.12 | 1000 |
| 37.26 | 998 |
| 31.80 | 985 |
| 42.02 | 876 |
| 45.15 | 781 |
| 38.29 | 693 |
| 39.13 | 657 |
| 39.29 | 654 |
| 32.88 | 652 |
| 31.62 | 552 |

Atomic structure:
```
data_Ga
_symmetry_space_group_name_H-M 'P 1'
_symmetry_Int_Tables_number 1
_symmetry_space_group_name_Hall 'P 1'
_cell_length_a 6.426
_cell_length_b 6.427
_cell_length_c 7.082
_cell_angle_alpha 114.68
_cell_angle_beta 114.68
_cell_angle_gamma 92.05
loop_
_atom_site_label
_atom_site_type_symbol
_atom_site_fract_x
_atom_site_fract_y
_atom_site_fract_z
_atom_site_occupancy
Ga1 Ga 0.000 0.000 0.000 1
Ga2 Ga 0.017 0.229 0.738 1
Ga3 Ga 0.190 0.690 0.717 1
Ga4 Ga 0.273 0.226 0.500 1
Ga5 Ga 0.273 0.482 0.264 1
Ga6 Ga 0.481 0.982 0.223 1
Ga7 Ga 0.500 0.500 0.000 1
Ga8 Ga 0.519 0.018 0.777 1
Ga9 Ga 0.727 0.518 0.736 1
Ga10 Ga 0.727 0.774 0.500 1
Ga11 Ga 0.810 0.310 0.283 1
Ga12 Ga 0.983 0.771 0.262 1
```



7.
Diffraction record for DyMg2Ru. The powder XRD pattern is computed, not measured: it uses a cell relaxed with GGA-PBE and λ = 1.5418 Å (Cu Kα).
No peak broadening, texture or thermal motion is included.

Main lines, in order of falling intensity (15 to 90 degrees two-theta):
| 2θ/deg | intensity |
| --- | --- |
| 21.24 | 1000 |
| 37.27 | 826 |
| 31.64 | 436 |
| 48.70 | 326 |
| 35.40 | 291 |
| 39.05 | 244 |
| 32.34 | 243 |
| 23.18 | 240 |
| 22.92 | 239 |
| 67.15 | 235 |

Atomic structure:
```
data_DyMg2Ru
_symmetry_space_group_name_H-M 'P 1'
_symmetry_Int_Tables_number 1
_symmetry_space_group_name_Hall 'P 1'
_cell_length_a 15.350
_cell_length_b 8.367
_cell_length_c 5.335
_cell_angle_alpha 90.00
_cell_angle_beta 90.00
_cell_angle_gamma 90.00
loop_
_atom_site_label
_atom_site_type_symbol
_atom_site_fract_x
_atom_site_fract_y
_atom_site_fract_z
_atom_site_occupancy
Dy1 Dy 0.109 0.250 0.250 1
Dy2 Dy 0.139 0.750 0.057 1
Dy3 Dy 0.361 0.250 0.557 1
Dy4 Dy 0.391 0.750 0.750 1
Dy5 Dy 0.609 0.250 0.250 1
Dy6 Dy 0.639 0.750 0.443 1
Dy7 Dy 0.861 0.250 0.943 1
Dy8 Dy 0.891 0.750 0.750 1
Mg1 Mg 0.040 0.058 0.735 1
Mg2 Mg 0.040 0.442 0.735 1
Mg3 Mg 0.211 0.557 0.548 1
Mg4 Mg 0.211 0.943 0.548 1
Mg5 Mg 0.289 0.057 0.048 1
Mg6 Mg 0.289 0.443 0.048 1
Mg7 Mg 0.460 0.558 0.235 1
Mg8 Mg 0.460 0.942 0.235 1
Mg9 Mg 0.540 0.058 0.765 1
Mg10 Mg 0.540 0.442 0.765 1
Mg11 Mg 0.711 0.557 0.952 1
Mg12 Mg 0.711 0.943 0.952 1
Mg13 Mg 0.789 0.057 0.452 1
Mg14 Mg 0.789 0.443 0.452 1
Mg15 Mg 0.960 0.558 0.265 1
Mg16 Mg 0.960 0.942 0.265 1
Ru1 Ru 0.064 0.750 0.561 1
Ru2 Ru 0.187 0.250 0.751 1
Ru3 Ru 0.313 0.750 0.251 1
Ru4 Ru 0.436 0.250 0.061 1
Ru5 Ru 0.564 0.750 0.939 1
Ru6 Ru 0.687 0.250 0.749 1
Ru7 Ru 0.813 0.750 0.249 1
Ru8 Ru 0.936 0.250 0.439 1
```



8.
Diffraction record for SrHg2Sb2. The powder XRD pattern is computed, not measured: it uses a cell relaxed with GGA-PBE and λ = 1.5418 Å (Cu Kα).
No peak broadening, texture or thermal motion is included.

Main lines, in order of falling intensity (15 to 90 degrees two-theta):
| 2θ/deg | intensity |
| --- | --- |
| 31.55 | 1000 |
| 33.72 | 234 |
| 58.95 | 169 |
| 33.16 | 161 |
| 42.30 | 125 |
| 55.15 | 115 |
| 48.01 | 115 |
| 70.64 | 99 |
| 35.60 | 95 |
| 65.88 | 90 |

Atomic structure:
```
data_SrHg2Sb2
_symmetry_space_group_name_H-M 'P 1'
_symmetry_Int_Tables_number 1
_symmetry_space_group_name_Hall 'P 1'
_cell_length_a 13.676
_cell_length_b 13.676
_cell_length_c 5.317
_cell_angle_alpha 90.00
_cell_angle_beta 90.00
_cell_angle_gamma 162.02
loop_
_atom_site_label
_atom_site_type_symbol
_atom_site_fract_x
_atom_site_fract_y
_atom_site_fract_z
_atom_site_occupancy
Sr1 Sr 0.143 0.857 0.750 1
Sr2 Sr 0.857 0.143 0.250 1
Hg1 Hg 0.050 0.950 0.250 1
Hg2 Hg 0.458 0.542 0.250 1
Hg3 Hg 0.542 0.458 0.750 1
Hg4 Hg 0.950 0.050 0.750 1
Sb1 Sb 0.227 0.773 0.250 1
Sb2 Sb 0.350 0.650 0.750 1
Sb3 Sb 0.650 0.350 0.250 1
Sb4 Sb 0.773 0.227 0.750 1
```



9.
Diffraction record for Pu2HfNpAs4. The powder XRD pattern is computed, not measured: it uses a cell relaxed with GGA-PBE and λ = 1.5418 Å (Cu Kα).
No peak broadening, texture or thermal motion is included.

Main lines, in order of falling intensity (15 to 90 degrees two-theta):
| 2θ/deg | intensity |
| --- | --- |
| 31.29 | 1000 |
| 44.85 | 499 |
| 26.95 | 220 |
| 27.07 | 216 |
| 74.17 | 170 |
| 55.82 | 132 |
| 55.56 | 132 |
| 82.86 | 130 |
| 44.66 | 126 |
| 44.97 | 125 |

Atomic structure:
```
data_Pu2HfNpAs4
_symmetry_space_group_name_H-M 'P 1'
_symmetry_Int_Tables_number 1
_symmetry_space_group_name_Hall 'P 1'
_cell_length_a 7.004
_cell_length_b 4.031
_cell_length_c 7.011
_cell_angle_alpha 90.00
_cell_angle_beta 109.23
_cell_angle_gamma 90.00
loop_
_atom_site_label
_atom_site_type_symbol
_atom_site_fract_x
_atom_site_fract_y
_atom_site_fract_z
_atom_site_occupancy
Pu1 Pu 0.000 0.000 0.000 1
Pu2 Pu 0.500 0.500 0.000 1
Hf1 Hf 0.000 0.500 0.500 1
Np1 Np 0.500 0.000 0.500 1
As1 As 0.237 0.000 0.736 1
As2 As 0.242 0.500 0.260 1
As3 As 0.758 0.500 0.740 1
As4 As 0.763 0.000 0.264 1
```



10.
Diffraction record for La3PrSe6. The powder XRD pattern is computed, not measured: it uses a cell relaxed with GGA-PBE and λ = 1.5418 Å (Cu Kα).
No peak broadening, texture or thermal motion is included.

Main lines, in order of falling intensity (15 to 90 degrees two-theta):
| 2θ/deg | intensity |
| --- | --- |
| 22.63 | 1000 |
| 32.97 | 760 |
| 22.80 | 739 |
| 39.29 | 735 |
| 39.77 | 515 |
| 46.17 | 308 |
| 40.93 | 261 |
| 41.20 | 256 |
| 26.78 | 237 |
| 27.54 | 222 |

Atomic structure:
```
data_La3PrSe6
_symmetry_space_group_name_H-M 'P 1'
_symmetry_Int_Tables_number 1
_symmetry_space_group_name_Hall 'P 1'
_cell_length_a 7.813
_cell_length_b 7.813
_cell_length_c 7.513
_cell_angle_alpha 118.30
_cell_angle_beta 118.30
_cell_angle_gamma 60.44
loop_
_atom_site_label
_atom_site_type_symbol
_atom_site_fract_x
_atom_site_fract_y
_atom_site_fract_z
_atom_site_occupancy
La1 La 0.000 0.000 0.000 1
La2 La 0.250 0.250 0.697 1
La3 La 0.750 0.750 0.303 1
Pr1 Pr 0.500 0.500 0.500 1
Se1 Se 0.157 0.658 0.657 1
Se2 Se 0.252 0.252 0.090 1
Se3 Se 0.342 0.843 0.343 1
Se4 Se 0.658 0.157 0.657 1
Se5 Se 0.748 0.748 0.910 1
Se6 Se 0.843 0.342 0.343 1
```



11.
Diffraction record for Li2AgPbAu. The powder XRD pattern is computed, not measured: it uses a cell relaxed with GGA-PBE and λ = 1.5418 Å (Cu Kα).
No peak broadening, texture or thermal motion is included.

Main lines, in order of falling intensity (15 to 90 degrees two-theta):
| 2θ/deg | intensity |
| --- | --- |
| 36.89 | 1000 |
| 26.06 | 898 |
| 23.49 | 486 |
| 39.26 | 436 |
| 35.36 | 410 |
| 26.91 | 335 |
| 45.73 | 304 |
| 53.38 | 239 |
| 49.97 | 193 |
| 32.50 | 180 |

Atomic structure:
```
data_Li2AgPbAu
_symmetry_space_group_name_H-M 'P 1'
_symmetry_Int_Tables_number 1
_symmetry_space_group_name_Hall 'P 1'
_cell_length_a 5.511
_cell_length_b 6.839
_cell_length_c 5.215
_cell_angle_alpha 90.00
_cell_angle_beta 90.00
_cell_angle_gamma 90.00
loop_
_atom_site_label
_atom_site_type_symbol
_atom_site_fract_x
_atom_site_fract_y
_atom_site_fract_z
_atom_site_occupancy
Li1 Li 0.250 0.202 0.244 1
Li2 Li 0.250 0.798 0.244 1
Li3 Li 0.750 0.202 0.756 1
Li4 Li 0.750 0.798 0.756 1
Ag1 Ag 0.000 0.500 0.000 1
Ag2 Ag 0.500 0.500 0.000 1
Pb1 Pb 0.250 0.000 0.746 1
Pb2 Pb 0.750 0.000 0.254 1
Au1 Au 0.250 0.500 0.532 1
Au2 Au 0.750 0.500 0.468 1
```



12.
Diffraction record for TlPH4S. The powder XRD pattern is computed, not measured: it uses a cell relaxed with GGA-PBE and λ = 1.5418 Å (Cu Kα).
No peak broadening, texture or thermal motion is included.

Main lines, in order of falling intensity (15 to 90 degrees two-theta):
| 2θ/deg | intensity |
| --- | --- |
| 18.12 | 1000 |
| 26.14 | 737 |
| 35.98 | 555 |
| 18.36 | 531 |
| 16.76 | 486 |
| 26.57 | 312 |
| 25.44 | 293 |
| 32.42 | 282 |
| 30.06 | 228 |
| 41.66 | 213 |

Atomic structure:
```
data_TlPH4S
_symmetry_space_group_name_H-M 'P 1'
_symmetry_Int_Tables_number 1
_symmetry_space_group_name_Hall 'P 1'
_cell_length_a 7.554
_cell_length_b 7.554
_cell_length_c 9.670
_cell_angle_alpha 127.82
_cell_angle_beta 127.82
_cell_angle_gamma 42.88
loop_
_atom_site_label
_atom_site_type_symbol
_atom_site_fract_x
_atom_site_fract_y
_atom_site_fract_z
_atom_site_occupancy
Tl1 Tl 0.032 0.032 0.319 1
Tl2 Tl 0.968 0.968 0.681 1
P1 P 0.395 0.395 0.742 1
P2 P 0.605 0.605 0.258 1
H1 H 0.004 0.648 0.843 1
H2 H 0.349 0.349 0.558 1
H3 H 0.352 0.996 0.157 1
H4 H 0.476 0.476 0.177 1
H5 H 0.524 0.524 0.823 1
H6 H 0.648 0.004 0.843 1
H7 H 0.651 0.651 0.442 1
H8 H 0.996 0.352 0.157 1
S1 S 0.214 0.214 0.106 1
S2 S 0.786 0.786 0.894 1
```